This entry pairs a crystal structure of NiSnP2O8 with its computed powder XRD pattern. Radiation: copper Kα. Structure: a DFT-relaxed cell (PBE+U, Alexandria).
Neutral-atom scattering factors, no anomalous dispersion.

Atomic structure:
a b c (Å): 4.9301 5.9335 9.9913
angles (deg): 90.00 90.39 90.00
Positions (direct):
1 Ni 0.0662 0.2500 0.2243
2 Ni 0.9338 0.7500 0.7757
3 Sn 0.4459 0.2500 0.7246
4 Sn 0.5541 0.7500 0.2754
5 P 0.1160 0.7500 0.0888
6 P 0.3956 0.7500 0.5934
7 P 0.6044 0.2500 0.4066
8 P 0.8840 0.2500 0.9112
9 O 0.1626 0.7500 0.9403
10 O 0.1911 0.2500 0.8822
11 O 0.2462 0.5452 0.6635
12 O 0.2462 0.9548 0.6635
13 O 0.2654 0.5484 0.1651
14 O 0.2654 0.9516 0.1651
15 O 0.3014 0.2500 0.3865
16 O 0.3190 0.7500 0.4427
17 O 0.6810 0.2500 0.5573
18 O 0.6986 0.7500 0.6135
19 O 0.7346 0.0484 0.8349
20 O 0.7346 0.4516 0.8349
21 O 0.7538 0.0452 0.3365
22 O 0.7538 0.4548 0.3365
23 O 0.8089 0.7500 0.1178
24 O 0.8374 0.2500 0.0597

Largest 10 diffraction maxima, sorted by position, 10 to 90 degrees two-theta:
Position (°2θ)	d (Å)	Rel. int.	h k l
17.4	5.102	16.2	0 1 1
17.8	4.996	64.0	0 0 2
20.1	4.409	23.4	1 0 1
25.1	3.546	100.0	1 1 -1
25.3	3.521	17.2	1 0 -2
29.7	3.013	16.8	1 1 2
30.1	2.967	51.8	0 2 0
35.8	2.509	39.2	1 1 -3
36.0	2.496	35.3	1 1 3
36.5	2.463	16.4	1 2 1